# Th3Pb2
Simulated powder XRD pattern, a wavelength of 1.5418 Å. Input: DFT lattice parameters and positions (PBE).
Peak positions follow from Bragg's law for the DFT cell and can differ from measured ones.

Structure:
Lattice parameters (Å, degrees): 9.305 9.305 9.305 140.40 140.40 57.25
Fractional positions:
Th 0.000 0.000 0.000
Th 0.000 0.000 0.500
Th 0.000 0.500 0.000
Th 0.375 0.625 0.750
Th 0.500 0.000 0.500
Th 0.625 0.375 0.250
Pb 0.179 0.429 0.750
Pb 0.429 0.179 0.250
Pb 0.571 0.821 0.750
Pb 0.821 0.571 0.250

Principal peaks in the range 2θ from 10° to 90°, in order of rising 2θ:
- 2θ = 28.31°, rel. 56
- 2θ = 30.39°, rel. 46
- 2θ = 30.83°, rel. 100
- 2θ = 32.22°, rel. 91
- 2θ = 35.87°, rel. 29
- 2θ = 46.41°, rel. 43
- 2θ = 51.72°, rel. 24
- 2θ = 52.64°, rel. 24
- 2θ = 58.56°, rel. 22
- 2θ = 67.65°, rel. 22